Record 1
This entry pairs a crystal structure of MoO3 with its computed powder XRD pattern. Radiation: Cu Kα (weighted mean of Kα1 and Kα2). Structure: a cell relaxed with PBE+U.

Structure:
Unit cell a=7.437 b=7.796 c=10.906 alpha=90.00 beta=132.75 gamma=90.00
Space group P2_1/c (No. 14)
One atom of each set of equivalent atoms:
1 Mo 0.035 0.033 0.285 x4
2 Mo 0.465 0.535 0.716 x4
3 O 0.011 0.741 0.733 x4
4 O 0.228 0.028 0.729 x4
5 O 0.229 0.028 0.228 x4
6 O 0.272 0.524 0.498 x4
7 O 0.277 0.006 0.502 x4
8 O 0.471 0.741 0.251 x4

Principal peaks in the range 2θ = 15–90°, sorted by position:
two_theta	I_rel	hkl
22.20	100.0	0 0 2
22.81	93.0	0 2 0
23.93	95.9	2 0 -2
25.81	21.7	1 2 -1
27.77	32.3	1 1 1
32.05	27.3	0 2 2
32.80	17.1	2 0 0
32.94	16.4	2 0 -4
33.30	33.5	2 2 -2
49.00	18.8	4 0 -4



Record 2
This entry pairs a crystal structure of Li3Ti2MnO6 with its computed powder XRD pattern. Radiation: Cu Kα (weighted mean of Kα1 and Kα2). Structure: a cell relaxed with PBE+U.

Structure:
Unit cell a=5.926 b=6.703 c=6.925 alpha=73.41 beta=77.70 gamma=63.81
Space group P-1 (No. 2)
One atom of each set of equivalent atoms:
1 Li 0.082 0.157 0.354 x2
2 Li 0.249 0.499 0.006 x2
3 Li 0.415 0.843 0.653 x2
4 Ti 0.169 0.335 0.674 x2
5 Ti 0.342 0.668 0.325 x2
6 Mn 0.000 0.000 0.000 x1
7 Mn 0.500 0.000 0.000 x1
8 O 0.031 0.105 0.663 x2
9 O 0.127 0.269 0.963 x2
10 O 0.200 0.426 0.355 x2
11 O 0.299 0.581 0.642 x2
12 O 0.376 0.733 0.035 x2
13 O 0.465 0.901 0.340 x2

Principal peaks in the range 2θ = 15–90°, sorted by position:
two_theta	I_rel	hkl
17.89	100.0	0 1 1
33.94	11.8	0 1 -2
35.25	29.8	2 0 1
41.01	30.7	0 0 3
42.84	57.7	2 -1 0
56.42	8.1	2 4 2
60.71	15.6	2 -1 3
60.90	15.6	2 3 4
61.68	8.0	0 4 1
62.71	7.7	4 2 1



Record 3
This entry pairs a crystal structure of NaCo2O4 with its computed powder XRD pattern. Radiation: Cu Kα (weighted mean of Kα1 and Kα2). Structure: a cell relaxed with PBE+U.

Structure:
Unit cell a=10.815 b=2.932 c=5.326 alpha=90.00 beta=90.00 gamma=90.00
Space group Amm2 (No. 38)
One atom of each set of equivalent atoms:
1 Na 0.000 0.000 0.000 x2
2 Co 0.255 0.000 0.333 x4
3 O 0.150 0.000 0.678 x4
4 O 0.336 0.000 0.980 x4

Principal peaks in the range 2θ = 15–90°, sorted by position:
two_theta	I_rel	hkl
16.39	100.0	2 0 0
33.13	10.8	4 0 0
34.94	10.4	0 1 1
37.65	24.4	2 0 2
38.82	40.0	2 1 1
43.25	9.7	3 1 1
47.95	11.4	4 0 2
48.91	24.8	4 1 1
61.01	12.9	0 1 3
63.00	15.5	6 1 1



Record 4
This entry pairs a crystal structure of Ba2LiV2Si4O14 with its computed powder XRD pattern. Radiation: Cu Kα (weighted mean of Kα1 and Kα2). Structure: a cell relaxed with PBE+U.

Structure:
Unit cell a=5.565 b=7.211 c=8.056 alpha=88.99 beta=73.78 gamma=85.91
Space group P1 (No. 1)
One atom of each set of equivalent atoms:
1 Ba 0.000 0.000 0.000 x1
2 Ba 0.347 0.491 0.202 x1
3 Li 0.454 0.026 0.184 x1
4 V 0.069 0.498 0.811 x1
5 V 0.151 0.939 0.465 x1
6 Si 0.571 0.767 0.822 x1
7 Si 0.576 0.215 0.799 x1
8 Si 0.722 0.716 0.406 x1
9 Si 0.780 0.257 0.387 x1
10 O 0.077 0.174 0.327 x1
11 O 0.119 0.976 0.679 x1
12 O 0.163 0.516 0.599 x1
13 O 0.290 0.306 0.889 x1
14 O 0.300 0.679 0.900 x1
15 O 0.494 0.802 0.329 x1
16 O 0.542 0.996 0.888 x1
17 O 0.633 0.191 0.255 x1
18 O 0.647 0.202 0.588 x1
19 O 0.663 0.757 0.613 x1
20 O 0.764 0.489 0.366 x1
21 O 0.783 0.680 0.912 x1
22 O 0.788 0.311 0.865 x1
23 O 0.992 0.794 0.310 x1

Principal peaks in the range 2θ = 15–90°, sorted by position:
two_theta	I_rel	hkl
20.04	45.6	1 1 0
26.16	100.0	0 1 -2
26.88	60.1	1 1 2
27.36	40.0	0 2 1
27.89	41.2	1 -1 2
28.97	61.5	1 2 0
30.94	43.3	1 -2 0
32.16	39.2	1 0 -2
32.33	64.3	2 0 1
34.16	41.6	1 0 3



Record 5
This entry pairs a crystal structure of Na2V2O5 with its computed powder XRD pattern. Radiation: Cu Kα (weighted mean of Kα1 and Kα2). Structure: a cell relaxed with PBE+U.

Structure:
Unit cell a=14.463 b=5.636 c=5.405 alpha=90.00 beta=90.00 gamma=90.00
Space group Ima2 (No. 46)
One atom of each set of equivalent atoms:
1 Na 0.107 0.030 0.000 x8
2 V 0.000 0.000 0.504 x4
3 V 0.250 0.571 0.041 x4
4 O 0.012 0.749 0.217 x8
5 O 0.141 0.059 0.475 x8
6 O 0.250 0.632 0.385 x4

Principal peaks in the range 2θ = 15–90°, sorted by position:
two_theta	I_rel	hkl
22.80	69.6	0 1 1
24.30	18.8	3 1 0
24.62	31.3	4 0 0
31.75	38.1	0 2 0
33.15	53.0	0 0 2
33.80	100.0	4 1 1
46.56	53.0	0 2 2
50.48	25.1	8 0 0
57.89	19.6	4 3 1
59.64	23.3	4 1 3



Record 6
This entry pairs a crystal structure of Li7Mn5O12 with its computed powder XRD pattern. Radiation: Cu Kα (weighted mean of Kα1 and Kα2). Structure: a cell relaxed with PBE+U.

Structure:
Unit cell a=6.024 b=8.209 c=10.092 alpha=113.21 beta=103.70 gamma=90.63
Space group P-1 (No. 2)
One atom of each set of equivalent atoms:
1 Li 0.000 0.000 0.000 x1
2 Li 0.000 0.000 0.500 x1
3 Li 0.000 0.500 0.000 x1
4 Li 0.000 0.500 0.500 x1
5 Li 0.160 0.178 0.341 x2
6 Li 0.164 0.675 0.835 x2
7 Li 0.330 0.829 0.667 x2
8 Li 0.347 0.333 0.178 x2
9 Li 0.500 0.000 0.500 x1
10 Li 0.500 0.500 0.000 x1
11 Mn 0.169 0.668 0.338 x2
12 Mn 0.171 0.167 0.837 x2
13 Mn 0.322 0.833 0.163 x2
14 Mn 0.325 0.336 0.663 x2
15 Mn 0.500 0.000 0.000 x1
16 Mn 0.500 0.500 0.500 x1
17 O 0.014 0.756 0.493 x2
18 O 0.022 0.762 0.023 x2
19 O 0.181 0.404 0.828 x2
20 O 0.181 0.907 0.326 x2
21 O 0.200 0.435 0.348 x2
22 O 0.201 0.939 0.849 x2
23 O 0.319 0.600 0.171 x2
24 O 0.342 0.066 0.158 x2
25 O 0.343 0.571 0.659 x2
26 O 0.364 0.106 0.690 x2
27 O 0.478 0.764 0.001 x2
28 O 0.479 0.265 0.501 x2

Principal peaks in the range 2θ = 15–90°, sorted by position:
two_theta	I_rel	hkl
18.28	100.0	0 1 1
34.26	16.2	2 -1 1
36.23	23.2	0 3 -3
41.24	34.3	2 0 2
44.13	56.2	2 0 -4
58.14	9.3	-2 1 5
61.73	8.6	4 0 -2
61.99	16.2	2 -4 4
62.23	8.1	0 0 6
64.74	7.9	2 4 -6



Record 7
This entry pairs a crystal structure of Fe3O2F2 with its computed powder XRD pattern. Radiation: Cu Kα (weighted mean of Kα1 and Kα2). Structure: a cell relaxed with PBE+U.

Structure:
Unit cell a=5.941 b=5.856 c=5.678 alpha=90.00 beta=116.49 gamma=90.00
Space group P2_1/c (No. 14)
One atom of each set of equivalent atoms:
1 Fe 0.000 0.000 0.000 x2
2 Fe 0.353 0.059 0.721 x4
3 O 0.332 0.131 0.070 x4
4 F 0.143 0.657 0.914 x4

Principal peaks in the range 2θ = 15–90°, sorted by position:
two_theta	I_rel	hkl
30.53	40.2	0 2 0
31.53	54.5	1 0 -2
33.07	55.2	1 1 1
33.94	100.0	2 1 -1
35.38	22.8	0 2 1
37.14	24.9	2 1 0
44.46	31.5	1 2 -2
51.19	17.9	1 1 -3
55.89	19.4	1 3 1
56.52	19.9	0 1 3



Record 8
This entry pairs a crystal structure of Ga2Fe2Bi2O9 with its computed powder XRD pattern. Radiation: Cu Kα (weighted mean of Kα1 and Kα2). Structure: a cell relaxed with PBE+U.

Structure:
Unit cell a=7.951 b=8.329 c=5.975 alpha=90.00 beta=90.00 gamma=90.00
Space group Pbam (No. 55)
One atom of each set of equivalent atoms:
1 Ga 0.150 0.167 0.000 x4
2 Fe 0.000 0.500 0.245 x4
3 Bi 0.169 0.833 0.500 x4
4 O 0.000 0.000 0.000 x2
5 O 0.129 0.296 0.258 x8
6 O 0.129 0.591 0.000 x4
7 O 0.146 0.568 0.500 x4

Principal peaks in the range 2θ = 15–90°, sorted by position:
two_theta	I_rel	hkl
28.43	100.0	1 2 1
29.03	96.0	2 1 1
29.91	26.6	0 0 2
33.81	23.8	1 1 2
34.21	22.9	1 3 0
39.24	19.0	2 1 2
47.64	26.1	1 4 1
49.55	20.2	4 1 1
52.55	19.9	2 1 3
57.08	42.4	3 3 2